# SmZr2CoN4
Calculated PXRD pattern, Cu Kα X-rays. Input: a DFT-relaxed cell (PBE, Alexandria).

Largest 10 diffraction maxima, sorted by position, 10 to 80 degrees two-theta:
(hkl)  2θ (°)  I (rel.)
0 2 3  29.03  74
0 0 4  32.24  34
0 4 0  32.37  55
1 1 2  32.94  100
1 3 1  37.77  51
1 3 2  40.40  79
1 1 5  50.45  23
1 5 2  52.69  25
1 3 5  56.04  37
2 4 0  66.74  22

Structure:
```
data_SmZr2CoN4
_chemical_formula_sum 'Sm4 Zr8 Co4 N16'
_cell_length_a 3.2502
_cell_length_b 11.0634
_cell_length_c 11.1050
_cell_angle_alpha 90.00
_cell_angle_beta 90.00
_cell_angle_gamma 90.00
_space_group_name_H-M_alt 'C m c m'
_space_group_IT_number 63
_space_group_name_Hall '-C 2c 2'
loop_
_atom_site_label
_atom_site_type_symbol
_atom_site_fract_x
_atom_site_fract_y
_atom_site_fract_z
Sm1 Sm 0.0000 0.1079 0.2500
Zr1 Zr 0.0000 0.3678 0.0536
Co1 Co 0.0000 0.1553 0.7500
N1 N 0.0000 0.0000 0.0000
N2 N 0.0000 0.2689 0.6166
N3 N 0.0000 0.4412 0.2500
```